No. 1
This entry pairs a crystal structure of Ca5La7Mn7Ru5O36 with its simulated powder diffraction line list. Radiation: copper Kα. Structure: DFT lattice parameters and positions (GGA+U).
No peak broadening, texture or thermal motion is included.

Most intense lines, 10° ≤ 2θ ≤ 90°, sorted by position:
2theta	d (Å)	intensity
23.66	3.761	11
31.65	2.827	31
31.91	2.805	33
32.01	2.796	100
32.19	2.780	31
45.70	1.985	18
45.84	1.979	18
45.96	1.975	20
57.17	1.611	15
57.30	1.608	30

Crystal structure
Cell: 5.561 5.654 23.699 Å, 89.83 89.90 89.84°
Sites, in units of the cell vectors:
Ca1 0.000 0.000 0.000
Ca2 0.004 0.992 0.670
Ca3 0.023 0.900 0.164
Ca4 0.496 0.393 0.164
Ca5 0.529 0.506 0.000
La1 0.004 0.988 0.332
La2 0.018 0.913 0.499
La3 0.021 0.911 0.832
La4 0.500 0.408 0.498
La5 0.501 0.408 0.834
La6 0.524 0.491 0.331
La7 0.526 0.494 0.670
Mn1 0.011 0.450 0.415
Mn2 0.014 0.449 0.749
Mn3 0.509 0.949 0.245
Mn4 0.511 0.949 0.416
Mn5 0.512 0.950 0.585
Mn6 0.513 0.950 0.749
Mn7 0.514 0.951 0.920
Ru1 0.012 0.447 0.245
Ru2 0.012 0.450 0.585
Ru3 0.013 0.449 0.082
Ru4 0.013 0.452 0.920
Ru5 0.514 0.950 0.082
O1 0.101 0.426 0.328
O2 0.104 0.414 0.664
O3 0.108 0.423 0.001
O4 0.200 0.152 0.232
O5 0.213 0.168 0.901
O6 0.217 0.170 0.565
O7 0.218 0.157 0.100
O8 0.230 0.166 0.430
O9 0.234 0.167 0.765
O10 0.290 0.667 0.430
O11 0.294 0.654 0.901
O12 0.297 0.662 0.764
O13 0.299 0.652 0.567
O14 0.306 0.639 0.233
O15 0.308 0.658 0.100
O16 0.414 0.917 0.001
O17 0.424 0.926 0.666
O18 0.434 0.933 0.331
O19 0.589 0.964 0.835
O20 0.591 0.966 0.501
O21 0.612 0.984 0.163
O22 0.716 0.242 0.065
O23 0.720 0.257 0.933
O24 0.722 0.256 0.597
O25 0.731 0.234 0.402
O26 0.731 0.236 0.737
O27 0.731 0.243 0.266
O28 0.791 0.733 0.401
O29 0.797 0.734 0.735
O30 0.808 0.744 0.066
O31 0.810 0.728 0.265
O32 0.819 0.743 0.933
O33 0.822 0.742 0.600
O34 0.913 0.480 0.165
O35 0.923 0.474 0.503
O36 0.927 0.471 0.837

=====

No. 2
This entry pairs a crystal structure of CaLa2Ti2Mn2O12 with its simulated powder diffraction line list. Radiation: copper Kα. Structure: DFT lattice parameters and positions (GGA+U).
No peak broadening, texture or thermal motion is included.

Most intense lines, 10° ≤ 2θ ≤ 90°, sorted by position:
2theta	d (Å)	intensity
19.99	4.441	91
32.84	2.727	50
32.98	2.716	100
38.74	2.324	30
39.00	2.310	17
40.62	2.221	15
47.13	1.928	39
47.55	1.912	18
58.65	1.574	15
58.77	1.571	25

Crystal structure
Cell: 5.424 5.436 7.717 Å, 89.87 89.95 89.55°
Sites, in units of the cell vectors:
Ca1 0.000 0.000 0.000
La1 0.008 0.049 0.500
La2 0.507 0.503 0.001
Ti1 0.006 0.531 0.736
Ti2 0.502 0.020 0.264
Mn1 0.003 0.527 0.250
Mn2 0.502 0.026 0.752
O1 0.059 0.533 0.005
O2 0.213 0.810 0.267
O3 0.217 0.818 0.734
O4 0.270 0.299 0.275
O5 0.272 0.297 0.726
O6 0.443 0.039 0.996
O7 0.555 0.016 0.503
O8 0.729 0.761 0.791
O9 0.735 0.756 0.211
O10 0.777 0.245 0.783
O11 0.786 0.249 0.219
O12 0.952 0.528 0.498